Computed powder X-ray diffraction pattern of LiNbWO7 for Cu Kα, from a structure optimized by DFT (GGA+U).

Crystal structure
```
data_LiNbWO7
_chemical_formula_sum 'Li4 Nb4 W4 O28'
_space_group_name_H-M_alt 'I m m a'
_space_group_IT_number 74
_space_group_name_Hall '-I 2b 2'
_cell_length_a 7.4545
_cell_length_b 7.5679
_cell_length_c 10.4447
_cell_angle_alpha 90.00
_cell_angle_beta 90.00
_cell_angle_gamma 90.00
loop_
_atom_site_label
_atom_site_type_symbol
_atom_site_fract_x
_atom_site_fract_y
_atom_site_fract_z
_atom_site_occupancy
Li1 Li 0.2500 0.2500 0.2500 1
Nb1 Nb 0.0000 0.0000 0.0000 1
W1 W 0.2500 0.2500 0.7500 1
O1 O 0.0000 0.2500 0.0705 1
O2 O 0.0000 0.2500 0.2799 1
O3 O 0.0000 0.2500 0.6939 1
O4 O 0.1861 0.0687 0.8727 1
```

Top 10 peaks for 15 to 90 degrees two-theta, by intensity:
(hkl), two_theta, I_rel
0 2 2, 29.14, 100
2 1 1, 28.02, 97
2 0 2, 29.44, 76
4 0 0, 48.91, 62
0 1 3, 28.24, 47
2 4 2, 57.40, 35
2 2 0, 33.75, 31
4 2 2, 57.92, 28
2 1 3, 37.29, 27
1 2 1, 27.79, 27